This entry pairs a crystal structure of ZnFeAsO5 with its simulated powder X-ray diffraction pattern. Radiation: Cu Kα (λ = 1.5418 Å). Structure: a cell relaxed with GGA+U.
Lines closer than 0.1° are merged.

Structural model:
Cell: 6.200 8.120 8.418 Å, 90.00 90.04 90.00°
Space group P2_1 (No. 4)
One atom of each set of equivalent atoms:
Zn: 0.050 0.000 0.063 (multiplicity 2)
Zn: 0.445 0.387 0.561 (multiplicity 2)
Fe: 0.246 0.446 0.245 (multiplicity 2)
Fe: 0.260 0.953 0.745 (multiplicity 2)
As: 0.015 0.104 0.426 (multiplicity 2)
As: 0.490 0.296 0.925 (multiplicity 2)
O: 0.006 0.057 0.848 (multiplicity 2)
O: 0.010 0.795 0.664 (multiplicity 2)
O: 0.050 0.957 0.281 (multiplicity 2)
O: 0.219 0.563 0.468 (multiplicity 2)
O: 0.238 0.105 0.549 (multiplicity 2)
O: 0.265 0.298 0.046 (multiplicity 2)
O: 0.277 0.836 0.970 (multiplicity 2)
O: 0.456 0.438 0.779 (multiplicity 2)
O: 0.489 0.602 0.163 (multiplicity 2)
O: 0.499 0.339 0.346 (multiplicity 2)

The 6 most intense peaks (10° ≤ 2θ ≤ 90°), low angle first:
- 20.9 deg, intensity 46, hkl 1 1 -1
- 21.9 deg, intensity 50, hkl 0 2 0
- 26.2 deg, intensity 100, hkl 1 2 0
- 28.3 deg, intensity 60, hkl 1 2 -1
- 32.7 deg, intensity 73, hkl 2 1 -1
- 33.8 deg, intensity 59, hkl 0 1 3